The following is a calculated PXRD pattern of MgSbPt2. It was derived from a PBE-relaxed structure, using Cu Kα X-rays.

Structure:
Cell: 5.878 6.683 3.613 Å, 90.00 90.00 90.00°
Space group Cmmm (No. 65)
Unique sites:
1 Mg 0.000 0.000 0.000 [2 per cell]
2 Sb 0.000 0.500 0.000 [2 per cell]
3 Pt 0.250 0.250 0.500 [4 per cell]

Largest 12 diffraction maxima, most intense first, 2θ from 15° to 90°:
hkl  Position (°2θ)  intensity
0 2 1  36.63  100
2 0 1  39.53  81
2 2 0  40.89  74
2 2 2  66.94  35
2 4 1  69.79  31
0 0 1  24.64  27
4 2 1  75.40  25
0 0 2  50.53  23
0 2 0  26.68  22
2 2 1  48.33  20
0 4 0  54.95  18
2 0 0  30.42  16

The following is a calculated PXRD pattern of MgSc2Pt2. It was derived from a PBE-relaxed structure, using Cu Kα X-rays.

Structure:
Cell: 4.379 4.379 11.241 Å, 90.00 90.00 90.00°
Space group I4/mmm (No. 139)
Unique sites:
1 Mg 0.000 0.000 0.000 [2 per cell]
2 Sc 0.000 0.500 0.250 [4 per cell]
3 Pt 0.000 0.000 0.385 [4 per cell]

Largest 12 diffraction maxima, most intense first, 2θ from 15° to 90°:
hkl  Position (°2θ)  intensity
1 0 1  21.78  100
1 1 4  43.49  46
1 1 0  28.83  37
2 0 0  41.23  35
1 0 3  31.42  34
1 0 5  45.35  30
2 1 1  47.11  27
2 1 5  62.94  23
3 1 4  76.73  18
2 1 3  52.74  16
1 1 2  33.03  14
2 2 0  59.73  12

The following is a calculated PXRD pattern of MgScSi2Pt5. It was derived from a PBE-relaxed structure, using Cu Kα X-rays.

Structure:
Cell: 4.047 4.047 8.830 Å, 90.00 90.00 90.00°
Space group P4/mmm (No. 123)
Unique sites:
1 Mg 0.000 0.000 0.000 [1 per cell]
2 Sc 0.000 0.000 0.500 [1 per cell]
3 Si 0.500 0.500 0.371 [2 per cell]
4 Pt 0.000 0.500 0.231 [4 per cell]
5 Pt 0.500 0.500 0.000 [1 per cell]

Largest 12 diffraction maxima, most intense first, 2θ from 15° to 90°:
hkl  Position (°2θ)  intensity
1 1 2  37.45  100
2 0 0  44.78  35
0 0 2  20.11  27
3 1 2  77.68  24
2 0 4  62.24  18
1 1 0  31.25  16
0 0 4  40.88  15
1 1 3  44.14  15
2 2 0  65.20  12
2 0 2  49.55  11
1 1 6  72.18  10
2 2 4  79.89  9

The following is a calculated PXRD pattern of SmMgSc2Pt2. It was derived from a PBE-relaxed structure, using Cu Kα X-rays.

Structure:
Cell: 4.7465 4.7465 6.5080 Å, 90.00 90.00 120.00°
Space group P-3m1 (No. 164)
Unique sites:
1 Sm 0.0000 0.0000 0.0000 [1 per cell]
2 Mg 0.0000 0.0000 0.5000 [1 per cell]
3 Sc 0.3333 0.6667 0.6743 [2 per cell]
4 Pt 0.3333 0.6667 0.2578 [2 per cell]

Largest 12 diffraction maxima, most intense first, 2θ from 15° to 90°:
hkl  Position (°2θ)  intensity
0 1 1  25.63  100
1 1 0  37.91  83
0 1 2  35.17  75
1 0 3  47.40  36
2 0 2  52.67  24
1 2 2  66.71  23
2 0 1  46.33  21
1 2 1  61.35  19
1 1 4  70.13  19
2 1 3  75.23  15
3 0 0  68.48  14
0 0 2  27.41  10

The following is a calculated PXRD pattern of MgScTlPt. It was derived from a PBE-relaxed structure, using Cu Kα X-rays.

Structure:
Cell: 6.785 6.785 6.785 Å, 90.00 90.00 90.00°
Space group F-43m (No. 216)
Unique sites:
1 Mg 0.000 0.000 0.000 [4 per cell]
2 Sc 0.000 0.000 0.500 [4 per cell]
3 Tl 0.250 0.250 0.750 [4 per cell]
4 Pt 0.250 0.250 0.250 [4 per cell]

Largest 9 diffraction maxima, most intense first, 2θ from 15° to 90°:
hkl  Position (°2θ)  intensity
2 2 0  37.49  100
2 0 0  26.27  60
4 2 2  67.65  36
4 2 0  61.08  25
2 2 2  46.36  18
4 0 0  54.06  17
6 0 0  85.96  13
4 4 0  79.99  11
1 1 1  22.70  1

The following is a calculated PXRD pattern of MgPtSe. It was derived from a PBE-relaxed structure, using Cu Kα X-rays.

Structure:
Cell: 3.733 4.772 8.500 Å, 91.85 90.34 113.01°
Space group P-1 (No. 2)
Unique sites:
1 Mg 0.082 0.168 0.304 [2 per cell]
2 Pt 0.205 0.407 0.599 [2 per cell]
3 Se 0.370 0.748 0.204 [2 per cell]

Largest 12 diffraction maxima, most intense first, 2θ from 15° to 90°:
hkl  Position (°2θ)  intensity
0 1 1  23.16  100
1 -2 1  40.28  66
0 1 0  20.23  51
1 0 -2  33.21  41
1 -1 2  33.40  40
-1 1 3  41.52  33
1 0 3  41.75  32
0 1 -4  46.82  22
2 -1 0  48.80  21
0 2 2  47.34  20
1 -3 0  58.07  16
1 0 2  33.89  15

The following is a calculated PXRD pattern of MgPtSe. It was derived from a PBE-relaxed structure, using Cu Kα X-rays.

Structure:
Cell: 5.667 3.815 5.671 Å, 90.00 93.27 90.00°
Space group Pm (No. 6)
Unique sites:
1 Mg 0.000 0.000 0.000 [1 per cell]
2 Mg 0.464 0.000 0.469 [1 per cell]
3 Pt 0.702 0.500 0.764 [1 per cell]
4 Pt 0.930 0.000 0.536 [1 per cell]
5 Se 0.136 0.500 0.330 [1 per cell]
6 Se 0.499 0.000 0.969 [1 per cell]

Largest 12 diffraction maxima, most intense first, 2θ from 15° to 90°:
hkl  Position (°2θ)  intensity
0 1 2  39.65  100
1 0 1  22.84  85
1 0 0  15.66  76
1 1 -1  31.97  63
2 1 -1  42.16  39
1 1 3  57.68  24
2 0 2  46.67  18
0 2 0  47.67  17
1 2 1  53.49  17
3 1 0  54.24  17
2 0 -3  57.11  13
2 1 4  81.81  12

The following is a calculated PXRD pattern of MgPt2Se. It was derived from a PBE-relaxed structure, using Cu Kα X-rays.

Structure:
Cell: 3.933 3.933 8.625 Å, 90.00 90.00 90.00°
Space group I-4m2 (No. 119)
Unique sites:
1 Mg 0.000 0.000 0.000 [2 per cell]
2 Pt 0.000 0.000 0.500 [2 per cell]
3 Pt 0.000 0.500 0.750 [2 per cell]
4 Se 0.000 0.500 0.250 [2 per cell]

Largest 12 diffraction maxima, most intense first, 2θ from 15° to 90°:
hkl  Position (°2θ)  intensity
1 1 2  38.52  100
1 0 1  24.88  51
2 0 0  46.16  30
3 1 2  80.35  24
2 0 4  64.09  23
0 0 4  41.90  20
1 0 3  38.80  17
1 1 6  74.27  15
2 1 1  53.14  14
2 2 4  82.55  11
2 2 0  67.34  10
2 1 3  61.84  9